(1)
Starting from a DFT-relaxed cell (GGA-PBE, the Materials Project), the powder diffractogram of Ag3Hg was calculated for a wavelength of 1.5418 Å.

Top 10 peaks for 2θ = 10–90°, in order of rising 2θ:
| 2theta | intensity |
| --- | --- |
| 25.1 | 9 |
| 29.7 | 4 |
| 34.4 | 24 |
| 37.2 | 26 |
| 39.2 | 100 |
| 51.5 | 15 |
| 61.6 | 17 |
| 68.4 | 19 |
| 74.2 | 20 |
| 75.5 | 14 |

Structural model:
abc: 6.0224 6.0224 4.8392
angles: 90.00 90.00 120.00
Positions (direct):
Ag1 0.1645 0.3290 0.2500
Ag2 0.1645 0.8355 0.2500
Ag3 0.3290 0.1645 0.7500
Ag4 0.6710 0.8355 0.2500
Ag5 0.8355 0.1645 0.7500
Ag6 0.8355 0.6710 0.7500
Hg1 0.3333 0.6667 0.7500
Hg2 0.6667 0.3333 0.2500



(2)
Starting from a DFT-relaxed cell (GGA-PBE, the Materials Project), the powder diffractogram of TbI3O9 was calculated for a wavelength of 1.5418 Å.

Top 10 peaks for 2θ = 10–90°, in order of rising 2θ:
| 2theta | intensity |
| --- | --- |
| 20.5 | 21 |
| 22.8 | 41 |
| 25.0 | 18 |
| 25.8 | 100 |
| 26.6 | 83 |
| 29.9 | 35 |
| 31.0 | 24 |
| 31.9 | 23 |
| 45.3 | 26 |
| 51.5 | 22 |

Structural model:
abc: 8.8267 6.1163 16.7772
angles: 90.00 114.75 90.00
Positions (direct):
Tb1 0.1466 0.2142 0.1037
Tb2 0.1466 0.2858 0.6037
Tb3 0.8534 0.7142 0.3963
Tb4 0.8534 0.7858 0.8963
I1 0.0722 0.1872 0.3572
I2 0.0722 0.3128 0.8572
I3 0.3554 0.6435 0.5202
I4 0.3554 0.8565 0.0202
I5 0.4184 0.5937 0.8022
I6 0.4184 0.9063 0.3022
I7 0.5816 0.0937 0.6978
I8 0.5816 0.4063 0.1978
I9 0.6446 0.1435 0.9798
I10 0.6446 0.3565 0.4798
I11 0.9278 0.6872 0.1428
I12 0.9278 0.8128 0.6428
O1 0.0598 0.0550 0.6886
O2 0.0598 0.4450 0.1886
O3 0.0960 0.6062 0.6702
O4 0.0960 0.8938 0.1702
O5 0.1126 0.1234 0.4705
O6 0.1126 0.3766 0.9705
O7 0.1269 0.6197 0.4863
O8 0.1269 0.8803 0.9863
O9 0.3392 0.5830 0.8875
O10 0.3392 0.9170 0.3875
O11 0.3447 0.1779 0.2552
O12 0.3447 0.3221 0.7552
O13 0.3546 0.0737 0.9419
O14 0.3546 0.4263 0.4419
O15 0.3631 0.0097 0.6337
O16 0.3631 0.4903 0.1337
O17 0.3927 0.0282 0.1171
O18 0.3927 0.4718 0.6171
O19 0.6073 0.5282 0.3829
O20 0.6073 0.9718 0.8829
O21 0.6369 0.5097 0.8663
O22 0.6369 0.9903 0.3663
O23 0.6454 0.5737 0.5581
O24 0.6454 0.9263 0.0581
O25 0.6553 0.6779 0.2448
O26 0.6553 0.8221 0.7448
O27 0.6608 0.0830 0.6125
O28 0.6608 0.4170 0.1125
O29 0.8731 0.1197 0.0137
O30 0.8731 0.3803 0.5137
O31 0.8874 0.6234 0.0295
O32 0.8874 0.8766 0.5295
O33 0.9040 0.1062 0.8298
O34 0.9040 0.3938 0.3298
O35 0.9402 0.5550 0.8114
O36 0.9402 0.9450 0.3114



(3)
Starting from a DFT-relaxed cell (GGA-PBE, the Materials Project), the powder diffractogram of Ca4NbGaO8 was calculated for a wavelength of 1.5418 Å.

Top 10 peaks for 2θ = 10–90°, in order of rising 2θ:
| 2theta | intensity |
| --- | --- |
| 21.5 | 43 |
| 23.6 | 22 |
| 29.5 | 63 |
| 31.7 | 84 |
| 32.1 | 100 |
| 32.2 | 87 |
| 33.6 | 22 |
| 43.8 | 55 |
| 48.4 | 34 |
| 56.7 | 45 |

Structural model:
abc: 11.2903 5.6483 14.2288
angles: 90.00 121.61 90.00
Positions (direct):
Ca1 0.0689 0.2449 0.0993
Ca2 0.0689 0.2551 0.5993
Ca3 0.2437 0.7293 0.8778
Ca4 0.2437 0.7707 0.3778
Ca5 0.2901 0.7285 0.6402
Ca6 0.2901 0.7715 0.1402
Ca7 0.3935 0.2242 0.5693
Ca8 0.3935 0.2758 0.0693
Ca9 0.6065 0.7242 0.9307
Ca10 0.6065 0.7758 0.4307
Ca11 0.7099 0.2285 0.8598
Ca12 0.7099 0.2715 0.3598
Ca13 0.7563 0.2293 0.6222
Ca14 0.7563 0.2707 0.1222
Ca15 0.9311 0.7449 0.4007
Ca16 0.9311 0.7551 0.9007
Nb1 0.0759 0.2492 0.3688
Nb2 0.0759 0.2508 0.8688
Nb3 0.9241 0.7492 0.1312
Nb4 0.9241 0.7508 0.6312
Ga1 0.3904 0.2106 0.8285
Ga2 0.3904 0.2894 0.3285
Ga3 0.6096 0.7106 0.6715
Ga4 0.6096 0.7894 0.1715
O1 0.0116 0.0719 0.7238
O2 0.0116 0.4281 0.2238
O3 0.0928 0.6712 0.6387
O4 0.0928 0.8288 0.1387
O5 0.1428 0.0277 0.4943
O6 0.1428 0.4723 0.9943
O7 0.1673 0.5181 0.4646
O8 0.1673 0.9819 0.9646
O9 0.2661 0.1833 0.3735
O10 0.2661 0.3167 0.8735
O11 0.3209 0.1766 0.1877
O12 0.3209 0.3234 0.6877
O13 0.3870 0.6223 0.3238
O14 0.3870 0.8777 0.8238
O15 0.4314 0.6815 0.0696
O16 0.4314 0.8185 0.5696
O17 0.5686 0.1815 0.4304
O18 0.5686 0.3185 0.9304
O19 0.6130 0.1223 0.1762
O20 0.6130 0.3777 0.6762
O21 0.6791 0.6766 0.3123
O22 0.6791 0.8234 0.8123
O23 0.7339 0.6833 0.1265
O24 0.7339 0.8167 0.6265
O25 0.8327 0.0181 0.0354
O26 0.8327 0.4819 0.5354
O27 0.8572 0.5277 0.0057
O28 0.8572 0.9723 0.5057
O29 0.9072 0.1712 0.8613
O30 0.9072 0.3288 0.3613
O31 0.9884 0.5719 0.7762
O32 0.9884 0.9281 0.2762



(4)
Starting from a DFT-relaxed cell (GGA-PBE, the Materials Project), the powder diffractogram of ScO2 was calculated for a wavelength of 1.5418 Å.

Top 10 peaks for 2θ = 10–90°, in order of rising 2θ:
| 2theta | intensity |
| --- | --- |
| 27.0 | 100 |
| 32.5 | 16 |
| 34.1 | 74 |
| 35.7 | 24 |
| 38.7 | 24 |
| 41.4 | 19 |
| 50.2 | 36 |
| 53.6 | 61 |
| 56.0 | 18 |
| 62.1 | 20 |

Structural model:
abc: 4.3675 5.0360 3.2864
angles: 90.00 90.00 90.00
Positions (direct):
Sc1 0.0000 0.0000 0.0000
Sc2 0.5000 0.5000 0.5000
O1 0.2280 0.3691 0.0000
O2 0.2720 0.8691 0.5000
O3 0.7280 0.1309 0.5000
O4 0.7720 0.6309 0.0000



(5)
Starting from a DFT-relaxed cell (GGA-PBE, the Materials Project), the powder diffractogram of Sb3P2H6C2NO9 was calculated for a wavelength of 1.5418 Å.

Top 10 peaks for 2θ = 10–90°, in order of rising 2θ:
| 2theta | intensity |
| --- | --- |
| 12.8 | 100 |
| 15.1 | 48 |
| 15.9 | 52 |
| 16.2 | 94 |
| 19.3 | 44 |
| 26.3 | 32 |
| 27.4 | 71 |
| 27.7 | 35 |
| 28.8 | 29 |
| 32.7 | 35 |

Structural model:
abc: 6.9842 9.6134 10.3107
angles: 72.83 82.54 88.67
Positions (direct):
Sb1 0.0701 0.2485 0.1743
Sb2 0.1881 0.2991 0.4740
Sb3 0.1901 0.0537 0.8247
Sb4 0.8099 0.9463 0.1753
Sb5 0.8119 0.7009 0.5260
Sb6 0.9299 0.7515 0.8257
P1 0.1201 0.6691 0.2539
P2 0.4573 0.7231 0.7735
P3 0.5427 0.2769 0.2265
P4 0.8799 0.3309 0.7461
H1 0.2584 0.5148 0.7991
H2 0.3076 0.5268 0.9616
H3 0.3115 0.8853 0.1919
H4 0.3994 0.7714 0.0872
H5 0.4494 0.7276 0.2616
H6 0.4889 0.4647 0.8529
H7 0.5111 0.5353 0.1471
H8 0.5506 0.2725 0.7384
H9 0.6006 0.2286 0.9128
H10 0.6885 0.1147 0.8081
H11 0.6924 0.4732 0.0384
H12 0.7416 0.4852 0.2009
C1 0.3427 0.7728 0.1914
C2 0.3697 0.5396 0.8557
C3 0.6303 0.4604 0.1443
C4 0.6573 0.2272 0.8086
N1 0.2845 0.9392 0.4441
N2 0.7155 0.0608 0.5559
O1 0.0374 0.2505 0.8348
O2 0.0521 0.1953 0.3773
O3 0.0608 0.0432 0.1683
O4 0.0728 0.6698 0.4066
O5 0.1442 0.5109 0.2488
O6 0.2593 0.1375 0.6256
O7 0.2818 0.8223 0.7820
O8 0.3805 0.2385 0.1523
O9 0.4689 0.2684 0.3782
O10 0.5311 0.7316 0.6218
O11 0.6195 0.7615 0.8477
O12 0.7182 0.1777 0.2180
O13 0.7407 0.8625 0.3744
O14 0.8558 0.4891 0.7512
O15 0.9272 0.3302 0.5934
O16 0.9392 0.9568 0.8317
O17 0.9479 0.8047 0.6227
O18 0.9626 0.7495 0.1652



(6)
Starting from a DFT-relaxed cell (GGA-PBE, the Materials Project), the powder diffractogram of K2Cu2Te5 was calculated for a wavelength of 1.5418 Å.

Top 10 peaks for 2θ = 10–90°, in order of rising 2θ:
| 2theta | intensity |
| --- | --- |
| 14.5 | 54 |
| 24.1 | 25 |
| 25.9 | 53 |
| 26.9 | 47 |
| 29.3 | 49 |
| 29.8 | 72 |
| 31.4 | 100 |
| 35.6 | 32 |
| 46.7 | 57 |
| 48.0 | 24 |

Structural model:
abc: 6.9544 6.9544 12.1851
angles: 90.00 90.00 67.76
Positions (direct):
K1 0.2039 0.2039 0.0000
K2 0.2039 0.2039 0.5000
K3 0.7961 0.7961 0.0000
K4 0.7961 0.7961 0.5000
Cu1 0.3157 0.4622 0.7500
Cu2 0.4622 0.3157 0.2500
Cu3 0.5378 0.6843 0.7500
Cu4 0.6843 0.5378 0.2500
Te1 0.0248 0.9752 0.2500
Te2 0.0635 0.5504 0.2500
Te3 0.3463 0.6537 0.5664
Te4 0.3463 0.6537 0.9336
Te5 0.4496 0.9365 0.2500
Te6 0.5504 0.0635 0.7500
Te7 0.6537 0.3463 0.0664
Te8 0.6537 0.3463 0.4336
Te9 0.9365 0.4496 0.7500
Te10 0.9752 0.0248 0.7500